This entry pairs a crystal structure of KFeAuSeS2 with its simulated powder XRD pattern. Radiation: CuKα. Structure: the GGA-PBE geometry in OQMD.

Largest 10 diffraction maxima, in order of rising 2θ, 5 to 70 degrees two-theta:
- 2θ 10.83, d 8.172, intensity 89
- 2θ 14.00, d 6.326, intensity 77
- 2θ 17.76, d 4.995, intensity 44
- 2θ 31.31, d 2.857, intensity 36
- 2θ 32.60, d 2.747, intensity 100
- 2θ 34.12, d 2.628, intensity 39
- 2θ 35.96, d 2.498, intensity 42
- 2θ 38.45, d 2.341, intensity 37
- 2θ 41.65, d 2.169, intensity 38
- 2θ 48.39, d 1.881, intensity 27

Crystal structure
a b c (Å): 3.3558 16.3443 9.9908
angles (deg): 90.00 90.00 90.00
Space group Cmcm (No. 63)
Unique sites:
K1 0.0000 0.2198 0.2500
Fe1 0.0000 0.5000 0.0000
Au1 0.0000 0.1084 0.7500
Se1 0.0000 0.4515 0.7500
S1 0.0000 0.0975 0.5171